Record 1
For LaH3Pd, DFT lattice parameters and positions (GGA-PBE) gives the simulated X-ray diffraction stick pattern in this record (Cu Kα (weighted mean of Kα1 and Kα2)).
Lines closer than 0.1° are merged.

The 12 most intense peaks (5 to 70 degrees two-theta), low angle first:
10.98°, I = 20, (0 0 1)
26.00°, I = 31, (1 0 1)
32.45°, I = 100, (1 0 2)
33.35°, I = 15, (0 0 3)
33.48°, I = 82, (1 1 0)
41.20°, I = 40, (1 0 3)
48.01°, I = 37, (0 2 0)
48.07°, I = 15, (2 0 0)
59.20°, I = 35, (2 1 2)
59.76°, I = 11, (2 0 -3)
65.12°, I = 20, (2 1 3)
67.87°, I = 15, (1 1 5)

Cell and atoms:
Unit cell a=3.785 b=3.786 c=8.061 alpha=90.00 beta=90.01 gamma=90.00
Space group Pm (No. 6)
Inequivalent atoms, fractional coordinates:
La  0.000  0.000  0.000 [1 per cell]
La  0.500  0.500  0.377 [1 per cell]
H  0.000  0.000  0.390 [1 per cell]
H  0.000  0.500  0.186 [1 per cell]
H  0.000  0.500  0.645 [1 per cell]
H  0.499  0.500  0.982 [1 per cell]
H  0.500  0.000  0.186 [1 per cell]
H  0.500  0.000  0.645 [1 per cell]
Pd  0.000  0.000  0.616 [1 per cell]
Pd  0.501  0.500  0.764 [1 per cell]

Record 2
For MnAlInS4, DFT lattice parameters and positions (GGA-PBE) gives the simulated X-ray diffraction stick pattern in this record (Cu Kα (weighted mean of Kα1 and Kα2)).
Lines closer than 0.1° are merged.

The 12 most intense peaks (5 to 70 degrees two-theta), low angle first:
14.54°, I = 20, (0 1 1)
14.72°, I = 93, (1 0 1)
28.10°, I = 92, (1 2 1)
28.23°, I = 41, (1 0 3)
28.39°, I = 24, (2 1 1)
34.13°, I = 51, (0 0 4)
34.24°, I = 100, (2 2 0)
44.82°, I = 25, (1 0 5)
45.15°, I = 32, (3 0 3)
48.70°, I = 24, (0 4 0)
49.12°, I = 95, (2 2 4)
49.69°, I = 23, (4 0 0)

Cell and atoms:
Unit cell a=7.339 b=7.479 c=10.508 alpha=90.00 beta=90.00 gamma=90.00
Space group Imma (No. 74)
Inequivalent atoms, fractional coordinates:
Mn  0.250  0.250  0.250 [4 per cell]
Al  0.000  0.250  0.634 [4 per cell]
In  0.000  0.000  0.000 [4 per cell]
S  0.000  0.010  0.250 [8 per cell]
S  0.247  0.250  0.494 [8 per cell]

Record 3
For Ac6MgCd2, DFT lattice parameters and positions (GGA-PBE) gives the simulated X-ray diffraction stick pattern in this record (Cu Kα (weighted mean of Kα1 and Kα2)).
Lines closer than 0.1° are merged.

The 12 most intense peaks (5 to 70 degrees two-theta), low angle first:
22.11°, I = 23, (0 2 2)
24.72°, I = 16, (1 0 3)
25.92°, I = 23, (3 0 1)
27.65°, I = 100, (2 2 2)
29.42°, I = 57, (1 2 3)
30.41°, I = 88, (3 2 1)
31.71°, I = 45, (0 4 0)
35.46°, I = 24, (2 0 4)
48.32°, I = 26, (2 4 4)
49.84°, I = 15, (3 2 5)
50.28°, I = 19, (3 5 2)
51.15°, I = 19, (5 2 3)

Cell and atoms:
Unit cell a=10.815 b=11.287 c=11.460 alpha=90.00 beta=90.00 gamma=90.00
Space group Immm (No. 71)
Inequivalent atoms, fractional coordinates:
Ac  0.000  0.224  0.179 [8 per cell]
Ac  0.183  0.234  0.500 [8 per cell]
Ac  0.201  0.500  0.250 [8 per cell]
Mg  0.000  0.500  0.000 [2 per cell]
Mg  0.000  0.500  0.500 [2 per cell]
Cd  0.000  0.000  0.374 [4 per cell]
Cd  0.139  0.000  0.000 [4 per cell]

Record 4
For PmPrDy2Ho4, DFT lattice parameters and positions (GGA-PBE) gives the simulated X-ray diffraction stick pattern in this record (Cu Kα (weighted mean of Kα1 and Kα2)).
Lines closer than 0.1° are merged.

The 11 most intense peaks (5 to 70 degrees two-theta), low angle first:
10.03°, I = 1, (1 1 0)
26.88°, I = 45, (0 4 0)
30.30°, I = 100, (4 0 0)
40.95°, I = 89, (4 4 0)
53.84°, I = 20, (4 0 -4)
55.41°, I = 6, (0 8 0)
61.18°, I = 27, (4 4 -4)
63.01°, I = 4, (8 0 0)
63.05°, I = 8, (0 0 4)
64.47°, I = 23, (4 8 0)
69.79°, I = 18, (0 4 4)

Cell and atoms:
Unit cell a=13.625 b=13.265 c=6.809 alpha=90.00 beta=119.98 gamma=90.00
Space group C2/c (No. 15)
Inequivalent atoms, fractional coordinates:
Pm  0.250  0.250  0.000 [4 per cell]
Pr  0.000  0.000  0.000 [4 per cell]
Dy  0.000  0.500  0.000 [4 per cell]
Dy  0.250  0.250  0.500 [4 per cell]
Ho  0.000  0.254  0.001 [8 per cell]
Ho  0.246  0.498  0.498 [8 per cell]

Record 5
For Zn2Cu2Pd5, DFT lattice parameters and positions (GGA-PBE) gives the simulated X-ray diffraction stick pattern in this record (Cu Kα (weighted mean of Kα1 and Kα2)).
Lines closer than 0.1° are merged.

The 12 most intense peaks (5 to 70 degrees two-theta), low angle first:
11.34°, I = 2, (0 0 1)
29.13°, I = 4, (1 1 1)
39.27°, I = 3, (3 1 -1)
40.37°, I = 100, (1 1 -3)
40.51°, I = 96, (3 1 0)
46.49°, I = 34, (0 2 0)
46.72°, I = 32, (2 0 3)
47.91°, I = 28, (4 0 -3)
68.03°, I = 20, (2 2 3)
68.95°, I = 10, (2 0 -6)
68.97°, I = 18, (4 2 -3)
69.36°, I = 8, (6 0 0)

Cell and atoms:
Unit cell a=8.515 b=3.907 c=8.174 alpha=90.00 beta=107.30 gamma=90.00
Space group Cm (No. 8)
Inequivalent atoms, fractional coordinates:
Zn  0.000  0.000  0.000 [2 per cell]
Zn  0.009  0.000  0.654 [2 per cell]
Cu  0.182  0.500  0.224 [2 per cell]
Cu  0.331  0.000  0.775 [2 per cell]
Pd  0.016  0.000  0.323 [2 per cell]
Pd  0.152  0.500  0.885 [2 per cell]
Pd  0.186  0.500  0.562 [2 per cell]
Pd  0.340  0.000  0.100 [2 per cell]
Pd  0.351  0.000  0.447 [2 per cell]

Record 6
For Nb3Co8Pt, DFT lattice parameters and positions (GGA-PBE) gives the simulated X-ray diffraction stick pattern in this record (Cu Kα (weighted mean of Kα1 and Kα2)).
Lines closer than 0.1° are merged.

The 12 most intense peaks (5 to 70 degrees two-theta), low angle first:
11.38°, I = 15, (0 0 1)
21.64°, I = 10, (1 0 0)
24.51°, I = 18, (0 1 1)
31.69°, I = 9, (0 1 2)
37.94°, I = 55, (1 1 0)
41.18°, I = 94, (0 1 3)
44.09°, I = 15, (2 0 0)
44.76°, I = 100, (1 1 2)
45.69°, I = 68, (2 0 1)
46.73°, I = 11, (0 0 4)
52.05°, I = 9, (1 0 4)
68.53°, I = 10, (3 0 0)

Cell and atoms:
Unit cell a=4.7430 b=4.7430 c=7.7762 alpha=90.00 beta=90.00 gamma=120.00
Space group P3m1 (No. 156)
Inequivalent atoms, fractional coordinates:
Nb  0.0000  0.0000  0.0000 [1 per cell]
Nb  0.0000  0.0000  0.3785 [1 per cell]
Nb  0.3333  0.6667  0.8393 [1 per cell]
Co  0.0056  0.5028  0.1766 [3 per cell]
Co  0.3301  0.1650  0.6814 [3 per cell]
Co  0.6667  0.3333  0.4283 [1 per cell]
Co  0.6667  0.3333  0.9329 [1 per cell]
Pt  0.3333  0.6667  0.4831 [1 per cell]

Record 7
For Ba2Na15Cd2, DFT lattice parameters and positions (GGA-PBE) gives the simulated X-ray diffraction stick pattern in this record (Cu Kα (weighted mean of Kα1 and Kα2)).
Lines closer than 0.1° are merged.

The 12 most intense peaks (5 to 70 degrees two-theta), low angle first:
14.82°, I = 100, (1 1 0)
21.53°, I = 30, (1 1 3)
25.82°, I = 60, (3 0 0)
27.03°, I = 27, (0 2 4)
27.43°, I = 21, (0 1 5)
29.90°, I = 66, (2 2 0)
30.27°, I = 42, (0 3 3)
30.96°, I = 23, (2 1 4)
31.32°, I = 44, (2 0 5)
34.81°, I = 31, (1 2 5)
39.91°, I = 23, (4 1 0)
43.08°, I = 17, (4 1 3)

Cell and atoms:
Unit cell a=11.9524 b=11.9524 c=17.1246 alpha=90.00 beta=90.00 gamma=120.00
Space group R-3m (No. 166, hexagonal axes)
Inequivalent atoms, fractional coordinates:
Ba  0.0000  0.0000  0.1717 [6 per cell]
Na  0.0000  0.2803  0.5000 [18 per cell]
Na  0.0000  0.5000  0.0000 [9 per cell]
Na  0.0010  0.5005  0.6454 [18 per cell]
Cd  0.0000  0.0000  0.4035 [6 per cell]

Record 8
For KEuHfZrO6, DFT lattice parameters and positions (GGA-PBE) gives the simulated X-ray diffraction stick pattern in this record (Cu Kα (weighted mean of Kα1 and Kα2)).
Lines closer than 0.1° are merged.

The 12 most intense peaks (5 to 70 degrees two-theta), low angle first:
18.44°, I = 22, (1 1 1)
21.33°, I = 8, (2 0 0)
30.34°, I = 100, (2 2 0)
35.74°, I = 14, (3 1 1)
43.44°, I = 31, (4 0 0)
47.57°, I = 6, (3 3 1)
48.89°, I = 3, (4 2 0)
53.91°, I = 40, (4 2 2)
57.47°, I = 5, (5 1 1)
63.12°, I = 19, (4 4 0)
66.38°, I = 5, (5 3 1)
67.44°, I = 1, (6 0 0)

Cell and atoms:
Unit cell a=8.332 b=8.332 c=8.332 alpha=90.00 beta=90.00 gamma=90.00
Space group F-43m (No. 216)
Inequivalent atoms, fractional coordinates:
K  0.000  0.000  0.000 [4 per cell]
Eu  0.000  0.000  0.500 [4 per cell]
Hf  0.250  0.250  0.750 [4 per cell]
Zr  0.250  0.250  0.250 [4 per cell]
O  0.002  0.250  0.750 [24 per cell]

Q: What is the formula in the eighth record?
A: KEuHfZrO6

Q: What is the formula in the fifth record?
A: Zn2Cu2Pd5